1.
This entry pairs a crystal structure of PuTaRe with its calculated XRD peak list. Radiation: CuKα. Structure: a DFT-relaxed cell (GGA-PBE, Alexandria).
Intensities are scaled so that the largest is 100.

Most intense lines, 2θ = 5–70°, by angle:
2θ = 29.43°, I 25
2θ = 30.29°, I 92
2θ = 33.39°, I 99
2θ = 40.24°, I 100
2θ = 41.34°, I 85
2θ = 42.05°, I 80
2θ = 44.00°, I 24
2θ = 56.87°, I 29
2θ = 60.48°, I 28
2θ = 69.07°, I 24

```
PuTaRe
1.0
0.000 3.587 5.742
3.035 0.000 5.742
3.035 3.587 0.000
Pu Ta Re
2 2 2
Direct
0.183 0.817 0.183 Pu
0.817 0.183 0.817 Pu
0.250 0.250 0.250 Ta
0.750 0.750 0.750 Ta
0.369 0.369 0.631 Re
0.631 0.631 0.369 Re
```

---

2.
This entry pairs a crystal structure of ErTm8Sc6 with its calculated XRD peak list. Radiation: CuKα. Structure: a DFT-relaxed cell (GGA-PBE, Alexandria).
Intensities are scaled so that the largest is 100.

Most intense lines, 2θ = 5–70°, by angle:
2θ = 15.51°, I 18
2θ = 28.30°, I 25
2θ = 29.92°, I 39
2θ = 31.28°, I 100
2θ = 36.28°, I 35
2θ = 36.96°, I 11
2θ = 37.11°, I 15
2θ = 52.25°, I 35
2θ = 54.82°, I 14
2θ = 62.18°, I 31

```
ErTm8Sc6
1.0
4.633 2.675 5.715
-4.633 2.675 5.715
0.000 -5.350 5.715
Er Tm Sc
1 8 6
Direct
0.000 0.000 0.000 Er
0.068 0.772 0.637 Tm
0.228 0.363 0.932 Tm
0.363 0.932 0.228 Tm
0.410 0.410 0.410 Tm
0.590 0.590 0.590 Tm
0.637 0.068 0.772 Tm
0.772 0.637 0.068 Tm
0.932 0.228 0.363 Tm
0.058 0.612 0.290 Sc
0.290 0.058 0.612 Sc
0.388 0.710 0.942 Sc
0.612 0.290 0.058 Sc
0.710 0.942 0.388 Sc
0.942 0.388 0.710 Sc
```

---

3.
This entry pairs a crystal structure of BaCdGaAu3 with its calculated XRD peak list. Radiation: CuKα. Structure: a DFT-relaxed cell (GGA-PBE, Alexandria).
Intensities are scaled so that the largest is 100.

Most intense lines, 2θ = 5–70°, by angle:
2θ = 14.04°, I 33
2θ = 27.41°, I 68
2θ = 28.30°, I 26
2θ = 29.87°, I 55
2θ = 31.26°, I 28
2θ = 35.44°, I 100
2θ = 39.43°, I 29
2θ = 45.96°, I 28
2θ = 47.89°, I 21
2θ = 57.47°, I 18

```
BaCdGaAu3
1.0
3.799 -6.308 0.000
3.799 6.308 0.000
0.000 0.000 6.796
Ba Cd Ga Au
2 2 2 6
Direct
0.212 0.788 0.750 Ba
0.788 0.212 0.250 Ba
0.092 0.908 0.250 Cd
0.908 0.092 0.750 Cd
0.491 0.509 0.750 Ga
0.509 0.491 0.250 Ga
0.247 0.247 0.000 Au
0.247 0.247 0.500 Au
0.307 0.693 0.250 Au
0.693 0.307 0.750 Au
0.753 0.753 0.000 Au
0.753 0.753 0.500 Au
```